No. 1
Diffraction record for KSmMn4O12. The powder diffraction line list is computed, not measured: it uses DFT lattice parameters and positions (GGA+U) and copper Kα.

Top 12 peaks for 15 to 90 degrees two-theta, most intense first:
2θ (°), Rel. int.
20.3, 1000
33.5, 943
33.3, 454
47.9, 437
59.7, 381
39.3, 356
16.6, 295
70.3, 224
48.2, 221
39.6, 184
59.9, 179
52.7, 150

Structure:
a b c (Å): 7.604 5.354 5.354
angles (deg): 89.62 90.00 90.00
Positions (direct):
K: 0.000 0.000 0.000
Sm: 0.500 0.517 0.517
Mn: 0.243 0.012 0.509
Mn: 0.243 0.509 0.012
Mn: 0.757 0.012 0.509
Mn: 0.757 0.509 0.012
O: 0.000 0.047 0.484
O: 0.000 0.484 0.047
O: 0.241 0.722 0.722
O: 0.277 0.250 0.762
O: 0.277 0.762 0.250
O: 0.290 0.276 0.276
O: 0.500 0.527 0.973
O: 0.500 0.973 0.527
O: 0.710 0.276 0.276
O: 0.723 0.250 0.762
O: 0.723 0.762 0.250
O: 0.759 0.722 0.722

---

No. 2
Diffraction record for K3NaMo2O8. The powder diffraction line list is computed, not measured: it uses DFT lattice parameters and positions (GGA+U) and copper Kα.

Top 12 peaks for 15 to 90 degrees two-theta, most intense first:
2θ (°), Rel. int.
29.0, 1000
20.2, 804
28.5, 606
41.1, 399
16.6, 235
22.9, 222
51.1, 209
38.7, 192
51.4, 159
60.1, 148
46.6, 135
37.3, 112

Structure:
a b c (Å): 6.156 6.156 15.520
angles (deg): 90.05 90.05 59.90
Positions (direct):
K: 0.055 0.945 0.750
K: 0.309 0.350 0.085
K: 0.350 0.309 0.585
K: 0.650 0.691 0.415
K: 0.691 0.650 0.915
K: 0.945 0.055 0.250
Na: 0.000 0.000 0.000
Na: 0.000 0.000 0.500
Mo: 0.318 0.357 0.361
Mo: 0.357 0.318 0.861
Mo: 0.643 0.682 0.139
Mo: 0.682 0.643 0.639
O: 0.144 0.224 0.409
O: 0.151 0.691 0.380
O: 0.224 0.144 0.909
O: 0.224 0.613 0.918
O: 0.277 0.379 0.749
O: 0.309 0.849 0.120
O: 0.379 0.277 0.249
O: 0.387 0.776 0.582
O: 0.613 0.224 0.418
O: 0.621 0.723 0.751
O: 0.691 0.151 0.880
O: 0.723 0.621 0.251
O: 0.776 0.387 0.082
O: 0.776 0.856 0.091
O: 0.849 0.309 0.620
O: 0.856 0.776 0.591

---

No. 3
Diffraction record for K5Na3Mo4O16. The powder diffraction line list is computed, not measured: it uses DFT lattice parameters and positions (GGA+U) and copper Kα.

Top 12 peaks for 15 to 90 degrees two-theta, most intense first:
2θ (°), Rel. int.
29.2, 1000
20.3, 616
28.8, 385
20.4, 287
41.3, 269
23.2, 221
16.7, 220
28.6, 203
51.7, 159
51.5, 129
33.8, 126
41.5, 122

Structure:
a b c (Å): 6.120 6.121 15.351
angles (deg): 90.30 90.06 119.95
Positions (direct):
K: 0.000 0.000 0.000
K: 0.048 0.049 0.501
K: 0.385 0.711 0.168
K: 0.638 0.301 0.833
K: 0.747 0.410 0.334
Na: 0.343 0.671 0.675
Na: 0.692 0.355 0.084
Na: 0.693 0.356 0.585
Mo: 0.000 0.996 0.723
Mo: 0.052 0.047 0.223
Mo: 0.333 0.664 0.942
Mo: 0.384 0.715 0.447
O: 0.001 0.509 0.965
O: 0.060 0.075 0.836
O: 0.089 0.572 0.505
O: 0.299 0.142 0.666
O: 0.323 0.635 0.333
O: 0.386 0.203 0.204
O: 0.405 0.718 0.828
O: 0.460 0.484 0.991
O: 0.477 0.961 0.000
O: 0.541 0.050 0.465
O: 0.568 0.588 0.493
O: 0.813 0.118 0.676
O: 0.846 0.661 0.703
O: 0.907 0.748 0.166
O: 0.924 0.229 0.176
O: 0.973 0.988 0.336

---

No. 4
Diffraction record for KNa7V6Mo2O24. The powder diffraction line list is computed, not measured: it uses DFT lattice parameters and positions (GGA+U) and copper Kα.

Top 12 peaks for 15 to 90 degrees two-theta, most intense first:
2θ (°), Rel. int.
33.1, 1000
23.2, 715
47.5, 394
69.3, 260
59.0, 238
47.4, 201
53.5, 158
59.1, 117
88.4, 99
79.1, 95
26.0, 90
53.4, 78

Structure:
a b c (Å): 7.679 7.656 7.656
angles (deg): 89.96 90.00 90.00
Positions (direct):
K: 0.000 0.000 0.000
Na: 0.000 0.515 0.515
Na: 0.000 0.515 0.996
Na: 0.000 0.996 0.515
Na: 0.500 0.515 0.515
Na: 0.500 0.515 0.996
Na: 0.500 0.996 0.515
Na: 0.500 0.996 0.996
V: 0.251 0.257 0.754
V: 0.251 0.754 0.257
V: 0.251 0.755 0.755
V: 0.749 0.257 0.754
V: 0.749 0.754 0.257
V: 0.749 0.755 0.755
Mo: 0.251 0.256 0.256
Mo: 0.749 0.256 0.256
O: 0.000 0.257 0.257
O: 0.000 0.258 0.753
O: 0.000 0.752 0.752
O: 0.000 0.753 0.258
O: 0.251 0.256 0.505
O: 0.251 0.505 0.256
O: 0.251 0.505 0.754
O: 0.251 0.754 0.505
O: 0.252 0.006 0.258
O: 0.252 0.258 0.006
O: 0.253 0.005 0.752
O: 0.253 0.752 0.005
O: 0.500 0.256 0.755
O: 0.500 0.257 0.257
O: 0.500 0.754 0.754
O: 0.500 0.755 0.256
O: 0.747 0.005 0.752
O: 0.747 0.752 0.005
O: 0.748 0.006 0.258
O: 0.748 0.258 0.006
O: 0.749 0.256 0.505
O: 0.749 0.505 0.256
O: 0.749 0.505 0.754
O: 0.749 0.754 0.505